Theoretical powder X-ray diffraction pattern
Compound: Li2CoNiO4
Radiation: Cu Ka
Structure: a structure optimized by DFT (GGA+U)

The 10 most intense peaks (15° ≤ 2θ ≤ 90°), low angle first:
18.55 deg, I = 100, (2 0 0)
35.50 deg, I = 34, (0 2 1)
36.46 deg, I = 12, (2 0 -2)
37.36 deg, I = 11, (2 2 -1)
43.16 deg, I = 54, (2 2 1)
44.46 deg, I = 23, (4 0 -2)
47.81 deg, I = 10, (4 2 -1)
57.26 deg, I = 9, (4 2 1)
63.61 deg, I = 13, (6 2 -1)
63.77 deg, I = 13, (2 2 -3)

Crystal structure
Cell: 10.0729 5.9661 5.0214 Å, 90.00 108.28 90.00°
Space group C2/m (No. 12)
Asymmetric unit:
Li: 0.2498 0.0000 0.0027
Li: 0.2500 0.2500 0.5000
Co: 0.0000 0.0000 0.5000
Co: 0.0000 0.5000 0.5000
Ni: 0.0000 0.2492 0.0000
O: 0.1059 0.5000 0.2710
O: 0.1096 0.0000 0.2715
O: 0.1203 0.2496 0.7389

Theoretical powder X-ray diffraction pattern
Compound: Li3Co4NiO8
Radiation: Cu Ka
Structure: a structure optimized by DFT (GGA+U)

The 10 most intense peaks (15° ≤ 2θ ≤ 90°), low angle first:
18.69 deg, I = 96, (0 0 1)
18.87 deg, I = 25, (2 0 -1)
36.76 deg, I = 26, (2 2 -1)
37.89 deg, I = 17, (0 0 2)
38.22 deg, I = 32, (2 2 0)
38.33 deg, I = 16, (4 0 -2)
43.76 deg, I = 53, (4 0 0)
44.66 deg, I = 100, (2 2 -2)
64.00 deg, I = 28, (2 2 2)
64.61 deg, I = 28, (6 2 -2)

Crystal structure
Cell: 10.0214 5.7279 5.7506 Å, 90.00 124.34 90.00°
Space group C2/m (No. 12)
Asymmetric unit:
Li: 0.0000 0.0000 0.0000
Li: 0.2500 0.2500 0.0000
Co: 0.0000 0.0000 0.5000
Co: 0.0000 0.5000 0.0000
Co: 0.2500 0.2500 0.5000
Ni: 0.0000 0.5000 0.5000
O: 0.0144 0.2416 0.2697
O: 0.2382 0.0000 0.7153
O: 0.2465 0.5000 0.7257

Theoretical powder X-ray diffraction pattern
Compound: Li2CoNiO4
Radiation: Cu Ka
Structure: a structure optimized by DFT (GGA+U)

The 10 most intense peaks (15° ≤ 2θ ≤ 90°), low angle first:
24.22 deg, I = 100, (1 1 1)
38.72 deg, I = 15, (1 3 -1)
42.57 deg, I = 25, (0 4 0)
44.38 deg, I = 24, (2 0 -2)
44.51 deg, I = 23, (2 0 2)
51.15 deg, I = 12, (1 1 3)
51.35 deg, I = 12, (3 1 -1)
58.89 deg, I = 11, (1 5 1)
63.18 deg, I = 13, (2 4 -2)
63.28 deg, I = 13, (2 4 2)

Crystal structure
Cell: 5.7519 8.4943 5.7792 Å, 90.00 90.16 90.00°
Space group C2 (No. 5)
Asymmetric unit:
Li: 0.0000 0.9997 0.0000
Li: 0.0000 0.5000 0.5000
Li: 0.2503 0.2495 0.7481
Co: 0.0000 0.0000 0.5000
Co: 0.0000 0.4998 0.0000
Ni: 0.2502 0.2498 0.2532
O: 0.0000 0.2350 0.5000
O: 0.0000 0.2773 0.0000
O: 0.0000 0.7224 0.0000
O: 0.0000 0.7633 0.5000
O: 0.2431 0.9796 0.7472
O: 0.2451 0.0202 0.2510

Theoretical powder X-ray diffraction pattern
Compound: LiCo3NiO8
Radiation: Cu Ka
Structure: a structure optimized by DFT (GGA+U)

The 10 most intense peaks (15° ≤ 2θ ≤ 90°), low angle first:
17.71 deg, I = 100, (0 0 3)
37.05 deg, I = 27, (0 2 1)
38.53 deg, I = 8, (2 0 2)
44.02 deg, I = 41, (0 2 4)
47.80 deg, I = 8, (2 0 5)
56.96 deg, I = 15, (0 2 7)
62.21 deg, I = 10, (2 0 8)
65.78 deg, I = 11, (2 2 0)
68.73 deg, I = 12, (2 2 3)
80.44 deg, I = 5, (2 0 11)

Crystal structure
Cell: 5.6783 5.6783 15.0221 Å, 90.00 90.00 120.00°
Space group R-3m (No. 166, hexagonal axes)
Asymmetric unit:
Li: 0.0000 0.0000 0.0000
Co: 0.0000 0.5000 0.5000
Ni: 0.0000 0.0000 0.5000
O: 0.0000 0.0000 0.2292
O: 0.0158 0.5079 0.7682